# K3Mo2Cl9
Calculated powder XRD pattern, Cu Kα (λ = 1.5418 Å). Input: the PBE geometry in OQMD.
Kinematic intensities with the Lorentz-polarization factor, no thermal factor.

Most intense lines, 10 to 90 degrees two-theta, in order of falling intensity:
15.3 deg, I = 100
33.1 deg, I = 36
14.4 deg, I = 29
36.0 deg, I = 28
29.9 deg, I = 27
25.1 deg, I = 26
39.4 deg, I = 24
51.5 deg, I = 23
10.4 deg, I = 18
30.9 deg, I = 18

Structural model:
Cell lengths 7.0965, 7.0965, 17.0853 Å; angles 90.00, 90.00, 120.00 degrees
Space group P6_3/m (No. 176)
Asymmetric unit:
K 0.0000 0.0000 0.2500 (multiplicity 2)
K 0.3333 0.6667 0.0651 (multiplicity 4)
Mo 0.3333 0.6667 0.6696 (multiplicity 4)
Cl 0.0010 0.4559 0.2500 (multiplicity 6)
Cl 0.1290 0.3477 0.5900 (multiplicity 12)

# KNb2Cl11
Calculated powder XRD pattern, Cu Kα (λ = 1.5418 Å). Input: the PBE geometry in OQMD.
Kinematic intensities with the Lorentz-polarization factor, no thermal factor.

Most intense lines, 10 to 90 degrees two-theta, in order of falling intensity:
15.3 deg, I = 100
30.4 deg, I = 32
37.9 deg, I = 31
18.7 deg, I = 31
32.3 deg, I = 25
30.1 deg, I = 21
18.4 deg, I = 20
24.4 deg, I = 16
38.2 deg, I = 15
15.1 deg, I = 13

Structural model:
Cell lengths 6.859, 6.917, 17.188 Å; angles 79.37, 79.13, 87.30 degrees
Space group P-1 (No. 2)
Asymmetric unit:
K 0.247 0.247 0.004 (multiplicity 2)
Nb 0.175 0.677 0.162 (multiplicity 2)
Nb 0.325 0.824 0.590 (multiplicity 2)
Cl 0.012 0.878 0.655 (multiplicity 2)
Cl 0.048 0.050 0.852 (multiplicity 2)
Cl 0.082 0.532 0.846 (multiplicity 2)
Cl 0.112 0.639 0.300 (multiplicity 2)
Cl 0.216 0.712 0.486 (multiplicity 2)
Cl 0.248 0.728 0.011 (multiplicity 2)
Cl 0.325 0.167 0.501 (multiplicity 2)
Cl 0.399 0.516 0.652 (multiplicity 2)
Cl 0.402 0.410 0.160 (multiplicity 2)
Cl 0.441 0.899 0.146 (multiplicity 2)
Cl 0.473 0.980 0.672 (multiplicity 2)